Entry 1:
Structure and computed X-ray powder pattern of LiCuCO3 (a DFT-relaxed cell (GGA-PBE, the Materials Project); Cu Kα, 1.54184 Å).
Neutral-atom scattering factors, no anomalous dispersion.

Structural model:
```
LiCuCO3
1.0
2.6514 -3.1267 0.0000
2.6514 3.1267 0.0000
0.0000 0.0000 8.7982
Li Cu C O
2 2 2 6
direct
0.2500 0.7500 0.8621
0.7500 0.2500 0.1379
0.0000 0.5000 0.5000
0.5000 0.0000 0.5000
0.2500 0.7500 0.2162
0.7500 0.2500 0.7838
0.0333 0.5333 0.2896
0.2500 0.7500 0.0734
0.4667 0.9667 0.2896
0.5333 0.0333 0.7104
0.7500 0.2500 0.9266
0.9667 0.4667 0.7104
```

Principal peaks in the range 2θ from 10° to 80°, sorted by position:
- 2θ = 10.05°, I 100
- 2θ = 20.19°, I 9
- 2θ = 24.22°, I 10
- 2θ = 28.55°, I 59
- 2θ = 30.34°, I 17
- 2θ = 33.81°, I 9
- 2θ = 35.36°, I 33
- 2θ = 41.03°, I 8
- 2θ = 46.05°, I 29
- 2θ = 62.38°, I 9



Entry 2:
Structure and computed X-ray powder pattern of LiCu3C3O9 (a DFT-relaxed cell (GGA-PBE, the Materials Project); Cu Kα, 1.54184 Å).
Neutral-atom scattering factors, no anomalous dispersion.

Structural model:
```
LiCu3C3O9
1.0
8.1256 0.0000 0.0000
0.0000 6.5184 0.0000
-4.0276 0.0000 7.0658
Li Cu C O
2 6 6 18
direct
0.0000 0.0000 0.0000
0.2703 0.5000 0.6179
0.3491 0.2531 0.3067
0.3491 0.7469 0.3067
0.6280 0.2443 0.9400
0.6280 0.7557 0.9400
0.9531 0.2545 0.6420
0.9531 0.7455 0.6420
0.3036 0.2503 0.9605
0.3036 0.7497 0.9605
0.6325 0.5000 0.6307
0.6452 0.0000 0.6371
0.9815 0.2503 0.2985
0.9815 0.7497 0.2985
0.1641 0.2736 0.3962
0.1641 0.7264 0.3962
0.1920 0.2241 0.0305
0.1920 0.7759 0.0305
0.2314 0.2712 0.7790
0.2314 0.7288 0.7790
0.4827 0.2563 0.0724
0.4827 0.7437 0.0724
0.5190 0.5000 0.4482
0.5358 0.0000 0.4569
0.5580 0.5000 0.7421
0.5782 0.0000 0.7529
0.8136 0.5000 0.7003
0.8318 0.0000 0.7109
0.8814 0.2574 0.3802
0.8814 0.7426 0.3802
0.8997 0.2206 0.1174
0.8997 0.7794 0.1174
```

Principal peaks in the range 2θ from 10° to 80°, sorted by position:
- 2θ = 21.81°, I 100
- 2θ = 21.88°, I 48
- 2θ = 27.36°, I 68
- 2θ = 30.21°, I 26
- 2θ = 35.27°, I 100
- 2θ = 38.23°, I 30
- 2θ = 44.58°, I 18
- 2θ = 47.65°, I 27
- 2θ = 53.10°, I 26
- 2θ = 61.27°, I 17



Entry 3:
Structure and computed X-ray powder pattern of LiCuCO3 (a DFT-relaxed cell (GGA-PBE, the Materials Project); Cu Kα, 1.54184 Å).
Neutral-atom scattering factors, no anomalous dispersion.

Structural model:
```
LiCuCO3
1.0
5.0370 0.0000 0.0000
-2.4430 4.4819 0.0000
-0.0295 -2.6838 5.8661
Li Cu C O
2 2 2 6
direct
0.2442 0.3037 0.1686
0.7558 0.6963 0.8314
0.3987 0.9668 0.7280
0.6013 0.0332 0.2720
0.0651 0.3277 0.7598
0.9349 0.6723 0.2402
0.0697 0.1019 0.8081
0.1946 0.6878 0.2859
0.3237 0.5706 0.7609
0.6763 0.4294 0.2391
0.8054 0.3122 0.7141
0.9303 0.8981 0.1919
```

Principal peaks in the range 2θ from 10° to 80°, sorted by position:
- 2θ = 20.89°, I 56
- 2θ = 21.81°, I 39
- 2θ = 22.76°, I 17
- 2θ = 28.21°, I 27
- 2θ = 29.19°, I 16
- 2θ = 30.48°, I 100
- 2θ = 34.69°, I 21
- 2θ = 35.65°, I 17
- 2θ = 41.03°, I 15
- 2θ = 42.17°, I 19



Entry 4:
Structure and computed X-ray powder pattern of LiCuCO3 (a DFT-relaxed cell (GGA-PBE, the Materials Project); Cu Kα, 1.54184 Å).
Neutral-atom scattering factors, no anomalous dispersion.

Structural model:
```
LiCuCO3
1.0
-2.6944 2.8409 8.6693
2.6944 -2.8409 8.6693
2.6944 2.8409 -8.6693
Li Cu C O
4 4 4 12
direct
0.2500 0.4977 0.2477
0.2500 0.9977 0.7477
0.7500 0.0023 0.2523
0.7500 0.5023 0.7523
0.1576 0.2500 0.4076
0.3424 0.7500 0.0924
0.6576 0.2500 0.9076
0.8424 0.7500 0.5924
0.1112 0.3612 0.7500
0.3888 0.1388 0.2500
0.6112 0.8612 0.7500
0.8888 0.6388 0.2500
0.0347 0.2847 0.7500
0.0464 0.2084 0.4659
0.2425 0.5805 0.0341
0.2575 0.2916 0.3380
0.4536 0.9195 0.1620
0.4653 0.2153 0.2500
0.5347 0.7847 0.7500
0.5464 0.0805 0.8380
0.7425 0.7084 0.6620
0.7575 0.4195 0.9659
0.9536 0.7916 0.5341
0.9653 0.7153 0.2500
```

Principal peaks in the range 2θ from 10° to 80°, sorted by position:
- 2θ = 10.20°, I 100
- 2θ = 20.49°, I 14
- 2θ = 24.98°, I 18
- 2θ = 31.49°, I 10
- 2θ = 33.24°, I 13
- 2θ = 34.87°, I 30
- 2θ = 36.11°, I 54
- 2θ = 39.09°, I 16
- 2θ = 41.67°, I 11
- 2θ = 60.56°, I 11